Starting from a GGA+U-relaxed structure, the powder X-ray diffraction pattern of NaMoAsO6 was calculated for Cu Ka.
Peak positions follow from Bragg's law for the DFT cell and can differ from measured ones.

Structure:
a = 6.652 Å, b = 7.853 Å, c = 10.193 Å
α = 90.00°, β = 90.00°, γ = 90.00°
Atoms (fractional coordinates):
Na 0.016 0.106 0.481
Na 0.484 0.894 0.981
Na 0.516 0.394 0.519
Na 0.984 0.606 0.019
Mo 0.234 0.704 0.684
Mo 0.266 0.296 0.184
Mo 0.734 0.796 0.316
Mo 0.766 0.204 0.816
As 0.242 0.702 0.340
As 0.258 0.298 0.840
As 0.742 0.798 0.660
As 0.758 0.202 0.160
O 0.037 0.838 0.333
O 0.059 0.155 0.827
O 0.225 0.906 0.614
O 0.242 0.745 0.853
O 0.243 0.575 0.204
O 0.248 0.408 0.983
O 0.252 0.592 0.483
O 0.257 0.425 0.704
O 0.258 0.255 0.353
O 0.275 0.094 0.114
O 0.441 0.845 0.327
O 0.463 0.162 0.833
O 0.537 0.662 0.667
O 0.559 0.345 0.173
O 0.725 0.594 0.386
O 0.742 0.755 0.147
O 0.743 0.925 0.796
O 0.748 0.092 0.017
O 0.752 0.908 0.517
O 0.757 0.075 0.296
O 0.758 0.245 0.647
O 0.775 0.406 0.886
O 0.941 0.655 0.673
O 0.963 0.338 0.167

Top 10 peaks for 15° ≤ 2θ ≤ 90°, sorted by position:
2θ/deg, intensity
17.4, 65.0
22.6, 46.8
26.8, 50.5
28.6, 100.0
30.5, 27.9
32.1, 19.8
35.4, 25.3
36.9, 17.9
39.6, 19.9
55.8, 23.3